(1)
Cr2ReH2: theoretical X-ray diffraction stick pattern (Cu Kα X-rays), based on a DFT-relaxed cell (PBE, Alexandria).
Intensities are scaled so that the largest is 100.

Top 10 peaks for 10° ≤ 2θ ≤ 90°, in order of rising 2θ:
Position (°2θ), intensity
22.3, 78
31.7, 43
38.9, 100
45.3, 52
45.5, 23
51.2, 52
56.4, 22
61.4, 17
75.2, 21
87.9, 22

Structural model:
a b c (Å): 5.640 5.640 2.842
angles (deg): 90.00 90.00 90.00
Fractional coordinates of all 10 atoms:
Cr1 0.141 0.359 0.000
Cr2 0.359 0.859 0.000
Cr3 0.641 0.141 0.000
Cr4 0.859 0.641 0.000
Re1 0.000 0.000 0.500
Re2 0.500 0.500 0.500
H1 0.203 0.703 0.500
H2 0.297 0.203 0.500
H3 0.703 0.797 0.500
H4 0.797 0.297 0.500

***

(2)
CrHRh2: theoretical X-ray diffraction stick pattern (Cu Kα X-rays), based on a DFT-relaxed cell (PBE, Alexandria).
Intensities are scaled so that the largest is 100.

Top 10 peaks for 10° ≤ 2θ ≤ 90°, in order of rising 2θ:
Position (°2θ), intensity
26.9, 27
38.5, 58
40.8, 39
42.4, 82
44.7, 100
60.9, 25
69.0, 31
83.4, 18
84.5, 11
86.0, 14

Structural model:
a b c (Å): 2.721 2.721 6.816
angles (deg): 101.42 101.42 60.00
Fractional coordinates of all 4 atoms:
Cr1 0.000 0.000 0.000
H1 0.163 0.163 0.489
Rh1 0.566 0.566 0.698
Rh2 0.767 0.767 0.306

***

(3)
CrH7Rh5: theoretical X-ray diffraction stick pattern (Cu Kα X-rays), based on a DFT-relaxed cell (PBE, Alexandria).
Intensities are scaled so that the largest is 100.

Top 10 peaks for 10° ≤ 2θ ≤ 90°, in order of rising 2θ:
Position (°2θ), intensity
35.5, 43
35.9, 27
36.6, 75
40.1, 100
40.2, 97
40.3, 42
40.7, 42
63.6, 17
64.3, 29
75.7, 17

Structural model:
a b c (Å): 2.927 4.910 14.992
angles (deg): 89.45 89.98 89.96
Fractional coordinates of all 26 atoms:
Cr1 0.000 0.000 0.000
Cr2 0.499 0.050 0.495
H1 0.000 0.410 0.654
H2 0.002 0.605 0.996
H3 0.003 0.759 0.132
H4 0.017 0.240 0.118
H5 0.498 0.181 0.728
H6 0.498 0.446 0.492
H7 0.500 0.629 0.835
H8 0.500 0.676 0.246
H9 0.501 0.850 0.386
H10 0.504 0.165 0.264
H11 0.997 0.147 0.884
H12 0.998 0.273 0.401
H13 0.999 0.778 0.741
H14 0.999 0.903 0.555
Rh1 0.000 0.479 0.215
Rh2 0.000 0.503 0.886
Rh3 0.001 0.997 0.328
Rh4 0.498 0.002 0.839
Rh5 0.499 0.496 0.374
Rh6 0.499 0.551 0.716
Rh7 0.501 0.465 0.052
Rh8 0.501 0.978 0.152
Rh9 0.998 0.048 0.661
Rh10 0.998 0.548 0.545

***

(4)
CrH2Rh2: theoretical X-ray diffraction stick pattern (Cu Kα X-rays), based on a DFT-relaxed cell (PBE, Alexandria).
Intensities are scaled so that the largest is 100.

Top 10 peaks for 10° ≤ 2θ ≤ 90°, in order of rising 2θ:
Position (°2θ), intensity
30.8, 32
34.7, 100
38.0, 38
44.2, 42
47.1, 86
49.9, 36
75.0, 21
75.3, 17
77.4, 24
85.4, 14

Structural model:
a b c (Å): 5.776 5.776 2.906
angles (deg): 90.00 90.00 90.00
Fractional coordinates of all 10 atoms:
Cr1 0.000 0.000 0.000
Cr2 0.500 0.500 0.000
H1 0.209 0.291 0.000
H2 0.291 0.791 0.000
H3 0.709 0.209 0.000
H4 0.791 0.709 0.000
Rh1 0.162 0.662 0.500
Rh2 0.338 0.162 0.500
Rh3 0.662 0.838 0.500
Rh4 0.838 0.338 0.500

***

(5)
Cr4H3Rh: theoretical X-ray diffraction stick pattern (Cu Kα X-rays), based on a DFT-relaxed cell (PBE, Alexandria).
Intensities are scaled so that the largest is 100.

Top 10 peaks for 10° ≤ 2θ ≤ 90°, in order of rising 2θ:
Position (°2θ), intensity
24.1, 13
30.9, 15
41.5, 90
41.6, 100
46.1, 39
47.2, 38
51.6, 18
68.1, 22
82.3, 19
83.9, 21

Structural model:
a b c (Å): 6.878 6.878 2.655
angles (deg): 95.27 95.27 32.50
Fractional coordinates of all 8 atoms:
Cr1 0.000 0.000 0.000
Cr2 0.405 0.405 0.393
Cr3 0.581 0.581 0.753
Cr4 0.804 0.804 0.875
H1 0.307 0.307 0.850
H2 0.695 0.695 0.316
H3 0.899 0.899 0.435
Rh1 0.193 0.193 0.313

***

(6)
CrSbH: theoretical X-ray diffraction stick pattern (Cu Kα X-rays), based on a DFT-relaxed cell (PBE, Alexandria).
Intensities are scaled so that the largest is 100.

Top 10 peaks for 10° ≤ 2θ ≤ 90°, in order of rising 2θ:
Position (°2θ), intensity
11.2, 45
20.5, 38
26.8, 84
30.3, 100
31.8, 61
34.2, 48
40.5, 41
41.6, 32
47.1, 67
48.8, 37

Structural model:
a b c (Å): 8.066 5.198 4.610
angles (deg): 90.00 102.74 90.00
Fractional coordinates of all 12 atoms:
Cr1 0.002 0.141 0.248
Cr2 0.002 0.359 0.748
Cr3 0.998 0.641 0.252
Cr4 0.998 0.859 0.752
Sb1 0.284 0.058 0.674
Sb2 0.284 0.442 0.174
Sb3 0.716 0.558 0.826
Sb4 0.716 0.942 0.326
H1 0.117 0.613 0.628
H2 0.117 0.887 0.128
H3 0.883 0.113 0.872
H4 0.883 0.387 0.372